The following is a calculated XRD peak list of Pr2GaGeRh6. It was derived from a crystal structure in Alexandria, relaxed with GGA-PBE, using Cu Kα (weighted mean of Kα1 and Kα2).
Intensities are scaled so that the largest is 100.

Atomic structure:
a b c (Å): 6.501 6.550 9.228
angles (deg): 90.00 90.00 90.00
Space group Immm (No. 71)
Unique sites:
Pr  0.000  0.000  0.250 [4 per cell]
Ga  0.000  0.500  0.000 [2 per cell]
Ge  0.000  0.500  0.500 [2 per cell]
Rh  0.000  0.500  0.251 [4 per cell]
Rh  0.249  0.251  0.500 [8 per cell]

Most intense lines, 2θ from 15° to 90°, in order of rising 2θ:
| 2θ/deg | I/Imax | (hkl) |
| --- | --- | --- |
| 27.33 | 15 | 1 1 2 |
| 33.56 | 53 | 0 2 2 |
| 33.73 | 52 | 2 0 2 |
| 39.04 | 100 | 2 2 0 |
| 56.17 | 11 | 0 4 0 |
| 56.40 | 45 | 2 2 4 |
| 67.14 | 14 | 2 4 2 |
| 67.46 | 14 | 4 2 2 |
| 70.52 | 11 | 0 4 4 |
| 70.93 | 11 | 4 0 4 |

=====

The following is a calculated XRD peak list of Nd3Mg3Zn2. It was derived from a crystal structure in Alexandria, relaxed with GGA-PBE, using Cu Kα (weighted mean of Kα1 and Kα2).
Intensities are scaled so that the largest is 100.

Atomic structure:
a b c (Å): 5.1928 5.1928 26.1620
angles (deg): 90.00 90.00 120.00
Space group R3m (No. 160, hexagonal axes)
Unique sites:
Nd  0.0000  0.0000  0.0000 [3 per cell]
Nd  0.0000  0.0000  0.2432 [3 per cell]
Nd  0.0000  0.0000  0.4895 [3 per cell]
Mg  0.0000  0.0000  0.1184 [3 per cell]
Mg  0.0000  0.0000  0.6216 [3 per cell]
Mg  0.0000  0.0000  0.7449 [3 per cell]
Zn  0.0000  0.0000  0.3689 [3 per cell]
Zn  0.0000  0.0000  0.8672 [3 per cell]

Most intense lines, 2θ from 15° to 90°, in order of rising 2θ:
| 2θ/deg | I/Imax | (hkl) |
| --- | --- | --- |
| 20.03 | 14 | 1 0 1 |
| 20.89 | 17 | 0 1 2 |
| 24.01 | 40 | 1 0 4 |
| 33.89 | 100 | 0 1 8 |
| 34.55 | 98 | 1 1 0 |
| 49.17 | 35 | 2 0 8 |
| 60.22 | 17 | 1 0 16 |
| 61.48 | 35 | 1 2 8 |
| 61.89 | 20 | 3 0 0 |
| 82.83 | 15 | 3 1 8 |